(1)
# LaSb2Pd
Computed powder X-ray diffraction pattern, λ = 1.5418 Å (Cu Kα). Input: a crystal structure in Alexandria, relaxed with PBE.

The 10 most intense peaks (2θ from 5° to 70°), most intense first:
33.1 deg, d 2.710, intensity 100.0, hkl 1 1 2
39.6 deg, d 2.275, intensity 44.9, hkl 2 0 0
67.8 deg, d 1.383, intensity 26.8, hkl 3 1 2
33.2 deg, d 2.699, intensity 19.6, hkl 1 0 3
57.3 deg, d 1.608, intensity 15.0, hkl 2 2 0
26.4 deg, d 3.373, intensity 14.0, hkl 1 0 2
8.8 deg, d 10.057, intensity 13.3, hkl 0 0 1
49.6 deg, d 1.840, intensity 13.1, hkl 1 0 5
65.2 deg, d 1.430, intensity 11.3, hkl 2 1 5
52.6 deg, d 1.739, intensity 10.5, hkl 2 1 3

Structure:
Lattice parameters (Å, degrees): 4.549 4.549 10.057 90.00 90.00 90.00
Sites, in units of the cell vectors:
La 0.250 0.250 0.248
La 0.750 0.750 0.752
Sb 0.250 0.250 0.852
Sb 0.250 0.750 0.500
Sb 0.750 0.250 0.500
Sb 0.750 0.750 0.148
Pd 0.250 0.750 0.000
Pd 0.750 0.250 0.000

(2)
# LaSbPd
Computed powder X-ray diffraction pattern, λ = 1.5418 Å (Cu Kα). Input: a crystal structure in Alexandria, relaxed with PBE.

The 10 most intense peaks (2θ from 5° to 70°), most intense first:
31.0 deg, d 2.881, intensity 100.0, hkl 1 0 4
38.8 deg, d 2.319, intensity 58.1, hkl 1 1 0
60.0 deg, d 1.543, intensity 30.5, hkl 1 1 8
50.5 deg, d 1.806, intensity 25.3, hkl 2 0 4
65.5 deg, d 1.425, intensity 22.9, hkl 2 1 4
43.8 deg, d 2.067, intensity 13.1, hkl 0 0 8
21.5 deg, d 4.134, intensity 5.6, hkl 0 0 4
44.8 deg, d 2.022, intensity 4.6, hkl 1 1 4
27.5 deg, d 3.246, intensity 1.1, hkl 1 0 3
44.5 deg, d 2.036, intensity 1.0, hkl 1 0 7

Structure:
Lattice parameters (Å, degrees): 4.637 4.637 16.536 90.00 90.00 120.00
Sites, in units of the cell vectors:
La 0.000 0.000 0.000
La 0.000 0.000 0.250
La 0.000 0.000 0.500
La 0.000 0.000 0.750
Sb 0.333 0.667 0.121
Sb 0.333 0.667 0.379
Sb 0.667 0.333 0.621
Sb 0.667 0.333 0.879
Pd 0.333 0.667 0.632
Pd 0.333 0.667 0.868
Pd 0.667 0.333 0.132
Pd 0.667 0.333 0.368